Record 1
Simulated powder diffractogram
Compound: Tb4ScBi
Radiation: Cu Kα (λ = 1.5418 Å)
Structure: the GGA-PBE geometry in Alexandria
No peak broadening, texture or thermal motion is included.

Main lines, low angle first (2θ from 5° to 70°):
| 2theta | I/Imax |
| --- | --- |
| 20.66 | 282 |
| 23.04 | 119 |
| 24.32 | 218 |
| 26.96 | 106 |
| 33.75 | 1000 |
| 34.66 | 475 |
| 40.69 | 100 |
| 49.83 | 171 |
| 59.77 | 183 |
| 61.54 | 356 |

Structure:
Cell lengths 5.176, 5.176, 7.721 Å; angles 90.04, 90.04, 90.00 degrees
Positions (direct):
Tb1 0.000 0.500 0.237
Tb2 0.000 0.500 0.763
Tb3 0.500 0.000 0.237
Tb4 0.500 0.000 0.763
Sc1 0.000 0.000 0.000
Bi1 0.500 0.500 0.500



Record 2
Simulated powder diffractogram
Compound: Li2HoP2Pt2
Radiation: Cu Kα (λ = 1.5418 Å)
Structure: the GGA-PBE geometry in Alexandria
No peak broadening, texture or thermal motion is included.

Main lines, low angle first (2θ from 5° to 70°):
| 2theta | I/Imax |
| --- | --- |
| 11.51 | 243 |
| 23.14 | 269 |
| 25.41 | 254 |
| 26.29 | 784 |
| 31.83 | 996 |
| 37.25 | 1000 |
| 44.24 | 773 |
| 55.52 | 210 |
| 59.18 | 264 |
| 66.76 | 388 |

Structure:
Cell lengths 8.043, 8.043, 8.043 Å; angles 29.50, 29.50, 29.50 degrees
Positions (direct):
Li1 0.143 0.143 0.143
Li2 0.857 0.857 0.857
Ho1 0.000 0.000 0.000
P1 0.254 0.254 0.254
P2 0.746 0.746 0.746
Pt1 0.422 0.422 0.422
Pt2 0.578 0.578 0.578



Record 3
Simulated powder diffractogram
Compound: Al5Rh6
Radiation: Cu Kα (λ = 1.5418 Å)
Structure: the GGA-PBE geometry in Alexandria
No peak broadening, texture or thermal motion is included.

Main lines, low angle first (2θ from 5° to 70°):
| 2theta | I/Imax |
| --- | --- |
| 15.79 | 681 |
| 26.42 | 447 |
| 39.64 | 1000 |
| 40.09 | 797 |
| 40.96 | 723 |
| 41.08 | 767 |
| 42.16 | 543 |
| 45.14 | 453 |
| 45.66 | 621 |
| 50.20 | 337 |

Structure:
Cell lengths 4.691, 6.228, 6.278 Å; angles 107.63, 105.31, 102.42 degrees
Positions (direct):
Al1 0.000 0.000 0.000
Al2 0.103 0.783 0.332
Al3 0.417 0.130 0.795
Al4 0.624 0.660 0.504
Al5 0.876 0.269 0.607
Rh1 0.217 0.707 0.724
Rh2 0.223 0.428 0.035
Rh3 0.293 0.232 0.431
Rh4 0.601 0.903 0.231
Rh5 0.715 0.572 0.890
Rh6 0.772 0.349 0.221



Record 4
Simulated powder diffractogram
Compound: Dy6Tm2Se3
Radiation: Cu Kα (λ = 1.5418 Å)
Structure: the GGA-PBE geometry in Alexandria
No peak broadening, texture or thermal motion is included.

Main lines, low angle first (2θ from 5° to 70°):
| 2theta | I/Imax |
| --- | --- |
| 28.85 | 332 |
| 30.25 | 1000 |
| 31.99 | 274 |
| 33.34 | 190 |
| 35.57 | 339 |
| 40.73 | 172 |
| 48.09 | 473 |
| 50.83 | 168 |
| 57.87 | 160 |
| 59.03 | 150 |

Structure:
Cell lengths 25.148, 25.148, 25.148 Å; angles 8.63, 8.63, 8.63 degrees
Positions (direct):
Dy1 0.074 0.074 0.074
Dy2 0.185 0.185 0.185
Dy3 0.358 0.358 0.358
Dy4 0.642 0.642 0.642
Dy5 0.815 0.815 0.815
Dy6 0.926 0.926 0.926
Tm1 0.444 0.444 0.444
Tm2 0.556 0.556 0.556
Se1 0.000 0.000 0.000
Se2 0.285 0.285 0.285
Se3 0.715 0.715 0.715



Record 5
Simulated powder diffractogram
Compound: CrGaSi
Radiation: Cu Kα (λ = 1.5418 Å)
Structure: the GGA-PBE geometry in Alexandria
No peak broadening, texture or thermal motion is included.

Main lines, low angle first (2θ from 5° to 70°):
| 2theta | I/Imax |
| --- | --- |
| 15.32 | 431 |
| 30.92 | 94 |
| 32.65 | 148 |
| 36.25 | 819 |
| 45.58 | 1000 |
| 46.84 | 544 |
| 47.13 | 181 |
| 49.57 | 86 |
| 68.41 | 164 |
| 68.64 | 218 |

Structure:
Cell lengths 2.743, 2.743, 5.785 Å; angles 90.00, 90.00, 90.00 degrees
Positions (direct):
Cr1 0.000 0.000 0.000
Ga1 0.500 0.500 0.694
Si1 0.500 0.500 0.269



Record 6
Simulated powder diffractogram
Compound: AgTe6As2
Radiation: Cu Kα (λ = 1.5418 Å)
Structure: the GGA-PBE geometry in Alexandria
No peak broadening, texture or thermal motion is included.

Main lines, low angle first (2θ from 5° to 70°):
| 2theta | I/Imax |
| --- | --- |
| 13.15 | 417 |
| 18.78 | 516 |
| 23.69 | 717 |
| 25.56 | 1000 |
| 26.57 | 856 |
| 29.23 | 596 |
| 30.59 | 481 |
| 33.81 | 730 |
| 37.93 | 798 |
| 48.08 | 396 |

Structure:
Cell lengths 10.482, 10.482, 6.500 Å; angles 105.76, 105.76, 79.95 degrees
Positions (direct):
Ag1 0.192 0.808 0.750
Ag2 0.808 0.192 0.250
Te1 0.060 0.656 0.877
Te2 0.114 0.127 0.953
Te3 0.127 0.114 0.453
Te4 0.301 0.444 0.417
Te5 0.344 0.940 0.623
Te6 0.444 0.301 0.917
Te7 0.556 0.699 0.083
Te8 0.656 0.060 0.377
Te9 0.699 0.556 0.583
Te10 0.873 0.886 0.547
Te11 0.886 0.873 0.047
Te12 0.940 0.344 0.123
As1 0.206 0.366 0.694
As2 0.366 0.206 0.194
As3 0.634 0.794 0.806
As4 0.794 0.634 0.306



Record 7
Simulated powder diffractogram
Compound: Pr3ErHg5
Radiation: Cu Kα (λ = 1.5418 Å)
Structure: the GGA-PBE geometry in Alexandria
No peak broadening, texture or thermal motion is included.

Main lines, low angle first (2θ from 5° to 70°):
| 2theta | I/Imax |
| --- | --- |
| 32.23 | 270 |
| 32.94 | 1000 |
| 33.28 | 872 |
| 47.53 | 309 |
| 54.86 | 92 |
| 59.26 | 254 |
| 59.48 | 98 |
| 62.41 | 88 |
| 65.70 | 250 |
| 65.89 | 91 |

Structure:
Cell lengths 9.325, 9.325, 6.694 Å; angles 90.00, 90.00, 120.00 degrees
Positions (direct):
Pr1 0.000 0.372 0.250
Pr2 0.000 0.628 0.750
Pr3 0.372 0.000 0.250
Pr4 0.372 0.372 0.750
Pr5 0.628 0.000 0.750
Pr6 0.628 0.628 0.250
Er1 0.000 0.000 0.000
Er2 0.000 0.000 0.500
Hg1 0.000 0.291 0.750
Hg2 0.000 0.709 0.250
Hg3 0.291 0.000 0.750
Hg4 0.291 0.291 0.250
Hg5 0.333 0.667 0.000
Hg6 0.333 0.667 0.500
Hg7 0.667 0.333 0.000
Hg8 0.667 0.333 0.500
Hg9 0.709 0.000 0.250
Hg10 0.709 0.709 0.750



Record 8
Simulated powder diffractogram
Compound: Ac2Dy2Hg
Radiation: Cu Kα (λ = 1.5418 Å)
Structure: the GGA-PBE geometry in Alexandria
No peak broadening, texture or thermal motion is included.

Main lines, low angle first (2θ from 5° to 70°):
| 2theta | I/Imax |
| --- | --- |
| 7.66 | 67 |
| 30.00 | 1000 |
| 32.46 | 423 |
| 39.04 | 111 |
| 46.57 | 158 |
| 51.65 | 201 |
| 56.39 | 348 |
| 62.34 | 115 |
| 65.20 | 83 |
| 67.97 | 52 |

Structure:
Cell lengths 11.861, 11.861, 11.861 Å; angles 161.07, 161.07, 26.89 degrees
Positions (direct):
Ac1 0.091 0.091 0.000
Ac2 0.909 0.909 0.000
Dy1 0.297 0.297 0.000
Dy2 0.703 0.703 0.000
Hg1 0.500 0.500 0.000



Record 9
Simulated powder diffractogram
Compound: CaMnCoAs2
Radiation: Cu Kα (λ = 1.5418 Å)
Structure: the GGA-PBE geometry in Alexandria
No peak broadening, texture or thermal motion is included.

Main lines, low angle first (2θ from 5° to 70°):
| 2theta | I/Imax |
| --- | --- |
| 16.70 | 482 |
| 23.87 | 275 |
| 33.89 | 1000 |
| 36.11 | 520 |
| 45.57 | 695 |
| 47.06 | 644 |
| 48.60 | 122 |
| 57.98 | 404 |
| 61.94 | 273 |
| 66.41 | 212 |

Structure:
Cell lengths 6.008, 6.008, 6.008 Å; angles 141.30, 141.30, 55.88 degrees
Positions (direct):
Ca1 0.000 0.000 0.000
Mn1 0.250 0.750 0.500
Co1 0.750 0.250 0.500
As1 0.363 0.363 0.000
As2 0.637 0.637 0.000



Record 10
Simulated powder diffractogram
Compound: Cs3Zn2I8
Radiation: Cu Kα (λ = 1.5418 Å)
Structure: the GGA-PBE geometry in Alexandria
No peak broadening, texture or thermal motion is included.

Main lines, low angle first (2θ from 5° to 70°):
| 2theta | I/Imax |
| --- | --- |
| 21.76 | 519 |
| 24.17 | 610 |
| 25.75 | 1000 |
| 27.15 | 360 |
| 27.41 | 553 |
| 28.60 | 556 |
| 39.28 | 412 |
| 44.35 | 631 |
| 46.75 | 344 |
| 51.14 | 486 |

Structure:
Cell lengths 12.010, 12.010, 12.010 Å; angles 39.77, 39.77, 39.77 degrees
Positions (direct):
Cs1 0.000 0.000 0.000
Cs2 0.210 0.210 0.210
Cs3 0.790 0.790 0.790
Zn1 0.405 0.405 0.405
Zn2 0.595 0.595 0.595
I1 0.220 0.736 0.736
I2 0.264 0.264 0.780
I3 0.264 0.780 0.264
I4 0.327 0.327 0.327
I5 0.673 0.673 0.673
I6 0.736 0.220 0.736
I7 0.736 0.736 0.220
I8 0.780 0.264 0.264